[1]
This entry pairs a crystal structure of Cu7Si2 with its computed X-ray powder pattern. Radiation: CuKα. Structure: a PBE-relaxed structure.

Structure:
Cell lengths 4.085, 4.085, 7.587 Å; angles 90.00, 90.00, 120.00 degrees
Fractional coordinates of all 9 atoms:
Cu1 0.000 0.000 0.000
Cu2 0.000 0.000 0.330
Cu3 0.000 0.000 0.670
Cu4 0.333 0.667 0.155
Cu5 0.333 0.667 0.496
Cu6 0.667 0.333 0.504
Cu7 0.667 0.333 0.845
Si1 0.333 0.667 0.809
Si2 0.667 0.333 0.191

Largest 10 diffraction maxima, low angle first, 10° ≤ 2θ ≤ 80°:
two_theta	I_rel	h k l
11.66	3.8	0 0 1
25.17	2.5	1 0 0
27.83	8.8	0 1 1
34.67	8.2	1 0 2
35.49	3.0	0 0 3
44.01	97.7	0 1 3
44.35	100.0	1 1 0
58.05	4.0	1 1 3
64.26	29.0	2 0 3
75.13	5.3	0 0 6



[2]
This entry pairs a crystal structure of CsRbMg14O15 with its computed X-ray powder pattern. Radiation: CuKα. Structure: a PBE-relaxed structure.

Structure:
Cell lengths 4.240, 8.949, 9.598 Å; angles 90.00, 90.00, 90.00 degrees
Fractional coordinates of all 31 atoms:
Cs1 0.000 0.000 0.000
Rb1 0.000 0.500 0.171
Mg1 0.000 0.000 0.589
Mg2 0.000 0.233 0.349
Mg3 0.000 0.283 0.863
Mg4 0.000 0.500 0.630
Mg5 0.000 0.717 0.863
Mg6 0.000 0.767 0.349
Mg7 0.500 0.000 0.348
Mg8 0.500 0.000 0.818
Mg9 0.500 0.242 0.616
Mg10 0.500 0.250 0.107
Mg11 0.500 0.500 0.421
Mg12 0.500 0.500 0.854
Mg13 0.500 0.750 0.107
Mg14 0.500 0.758 0.616
O1 0.000 0.000 0.386
O2 0.000 0.227 0.649
O3 0.000 0.236 0.127
O4 0.000 0.500 0.429
O5 0.000 0.500 0.836
O6 0.000 0.764 0.127
O7 0.000 0.773 0.649
O8 0.500 0.000 0.143
O9 0.500 0.000 0.617
O10 0.500 0.227 0.865
O11 0.500 0.256 0.383
O12 0.500 0.500 0.053
O13 0.500 0.500 0.635
O14 0.500 0.744 0.383
O15 0.500 0.773 0.865

Largest 10 diffraction maxima, low angle first, 10° ≤ 2θ ≤ 80°:
two_theta	I_rel	h k l
20.99	57.6	0 1 2
22.93	30.4	1 0 1
29.65	44.0	0 1 3
29.84	87.8	1 1 2
34.62	55.0	1 2 2
36.59	54.3	1 1 3
40.31	100.0	0 4 0
41.52	41.3	1 3 2
42.65	91.6	2 0 0
60.13	54.1	2 4 0



[3]
This entry pairs a crystal structure of BaTeO3 with its computed X-ray powder pattern. Radiation: CuKα. Structure: a PBE-relaxed structure.

Structure:
Cell lengths 15.193, 6.237, 12.516 Å; angles 90.00, 90.00, 90.00 degrees
Fractional coordinates of all 60 atoms:
Ba1 0.005 0.250 0.136
Ba2 0.016 0.750 0.372
Ba3 0.194 0.250 0.858
Ba4 0.306 0.750 0.358
Ba5 0.484 0.250 0.872
Ba6 0.495 0.750 0.636
Ba7 0.505 0.250 0.364
Ba8 0.516 0.750 0.128
Ba9 0.694 0.250 0.642
Ba10 0.806 0.750 0.142
Ba11 0.984 0.250 0.628
Ba12 0.995 0.750 0.864
Te1 0.138 0.750 0.097
Te2 0.162 0.250 0.385
Te3 0.185 0.750 0.652
Te4 0.315 0.250 0.152
Te5 0.338 0.750 0.885
Te6 0.362 0.250 0.597
Te7 0.638 0.750 0.403
Te8 0.662 0.250 0.115
Te9 0.685 0.750 0.848
Te10 0.815 0.250 0.348
Te11 0.838 0.750 0.615
Te12 0.862 0.250 0.903
O1 0.023 0.750 0.155
O2 0.043 0.250 0.426
O3 0.116 0.523 0.712
O4 0.116 0.977 0.712
O5 0.117 0.520 0.000
O6 0.117 0.980 0.000
O7 0.157 0.018 0.288
O8 0.157 0.482 0.288
O9 0.158 0.750 0.505
O10 0.342 0.250 0.005
O11 0.343 0.518 0.788
O12 0.343 0.982 0.788
O13 0.383 0.020 0.500
O14 0.383 0.480 0.500
O15 0.384 0.023 0.212
O16 0.384 0.477 0.212
O17 0.457 0.750 0.926
O18 0.477 0.250 0.655
O19 0.523 0.750 0.345
O20 0.543 0.250 0.074
O21 0.616 0.523 0.788
O22 0.616 0.977 0.788
O23 0.617 0.520 0.500
O24 0.617 0.980 0.500
O25 0.657 0.018 0.212
O26 0.657 0.482 0.212
O27 0.658 0.750 0.995
O28 0.842 0.250 0.495
O29 0.843 0.518 0.712
O30 0.843 0.982 0.712
O31 0.883 0.020 0.000
O32 0.883 0.480 0.000
O33 0.884 0.023 0.288
O34 0.884 0.477 0.288
O35 0.957 0.750 0.574
O36 0.977 0.250 0.845

Largest 10 diffraction maxima, low angle first, 10° ≤ 2θ ≤ 80°:
two_theta	I_rel	h k l
26.78	100.0	3 1 2
28.58	40.7	0 2 0
35.45	9.9	6 0 0
40.85	19.7	0 2 4
46.15	15.3	6 2 0
49.47	14.1	3 1 6
49.59	17.8	3 3 2
55.18	8.3	6 2 4
58.54	5.3	9 1 2
66.07	6.7	3 3 6



[4]
This entry pairs a crystal structure of AcAg2Sn with its computed X-ray powder pattern. Radiation: CuKα. Structure: a PBE-relaxed structure.

Structure:
Cell lengths 7.446, 7.446, 7.446 Å; angles 90.00, 90.00, 90.00 degrees
Fractional coordinates of all 16 atoms:
Ac1 0.000 0.000 0.000
Ac2 0.000 0.500 0.500
Ac3 0.500 0.000 0.500
Ac4 0.500 0.500 0.000
Ag1 0.250 0.250 0.250
Ag2 0.250 0.250 0.750
Ag3 0.250 0.750 0.250
Ag4 0.250 0.750 0.750
Ag5 0.750 0.250 0.250
Ag6 0.750 0.250 0.750
Ag7 0.750 0.750 0.250
Ag8 0.750 0.750 0.750
Sn1 0.000 0.000 0.500
Sn2 0.000 0.500 0.000
Sn3 0.500 0.000 0.000
Sn4 0.500 0.500 0.500

Largest 10 diffraction maxima, low angle first, 10° ≤ 2θ ≤ 80°:
two_theta	I_rel	h k l
20.66	6.8	1 1 1
23.90	4.8	2 0 0
34.06	100.0	2 2 0
40.17	3.9	3 1 1
42.04	1.7	2 2 2
48.93	18.0	4 0 0
53.65	1.7	3 3 1
55.16	2.6	4 2 0
60.96	37.1	4 2 2
71.70	11.5	4 4 0



[5]
This entry pairs a crystal structure of Th2CuP2O with its computed X-ray powder pattern. Radiation: CuKα. Structure: a PBE-relaxed structure.

Structure:
Cell lengths 3.408, 3.408, 14.154 Å; angles 90.00, 90.00, 90.00 degrees
Fractional coordinates of all 6 atoms:
Th1 0.000 0.000 0.151
Th2 0.000 0.000 0.849
Cu1 0.000 0.000 0.500
P1 0.000 0.000 0.348
P2 0.000 0.000 0.652
O1 0.000 0.000 0.000

Largest 10 diffraction maxima, low angle first, 10° ≤ 2θ ≤ 80°:
two_theta	I_rel	h k l
18.81	51.4	0 0 3
26.15	100.0	1 0 0
32.41	56.7	1 0 3
36.61	23.9	1 0 4
37.31	39.2	1 1 0
42.10	28.6	1 1 3
46.84	29.6	1 0 6
54.43	18.9	1 1 6
60.77	18.8	2 1 0
64.22	17.0	2 1 3



[6]
This entry pairs a crystal structure of FeH3 with its computed X-ray powder pattern. Radiation: CuKα. Structure: a PBE-relaxed structure.

Structure:
Cell lengths 3.285, 3.285, 3.285 Å; angles 90.00, 90.00, 90.00 degrees
Fractional coordinates of all 8 atoms:
Fe1 0.000 0.000 0.000
Fe2 0.500 0.500 0.500
H1 0.000 0.250 0.500
H2 0.000 0.750 0.500
H3 0.250 0.500 0.000
H4 0.500 0.000 0.250
H5 0.500 0.000 0.750
H6 0.750 0.500 0.000

Largest 3 diffraction maxima, low angle first, 10° ≤ 2θ ≤ 80°:
two_theta	I_rel	h k l
38.77	100.0	1 1 0
55.99	16.9	2 0 0
70.18	31.9	2 1 1



[7]
This entry pairs a crystal structure of DySnRu2 with its computed X-ray powder pattern. Radiation: CuKα. Structure: a PBE-relaxed structure.

Structure:
Cell lengths 6.612, 6.612, 6.612 Å; angles 90.00, 90.00, 90.00 degrees
Fractional coordinates of all 16 atoms:
Dy1 0.000 0.000 0.000
Dy2 0.000 0.500 0.500
Dy3 0.500 0.000 0.500
Dy4 0.500 0.500 0.000
Sn1 0.000 0.000 0.500
Sn2 0.000 0.500 0.000
Sn3 0.500 0.000 0.000
Sn4 0.500 0.500 0.500
Ru1 0.250 0.250 0.250
Ru2 0.250 0.250 0.750
Ru3 0.250 0.750 0.250
Ru4 0.250 0.750 0.750
Ru5 0.750 0.250 0.250
Ru6 0.750 0.250 0.750
Ru7 0.750 0.750 0.250
Ru8 0.750 0.750 0.750

Largest 8 diffraction maxima, low angle first, 10° ≤ 2θ ≤ 80°:
two_theta	I_rel	h k l
23.30	1.6	1 1 1
26.97	2.8	2 0 0
38.51	100.0	2 2 0
45.50	0.7	3 1 1
47.64	0.9	2 2 2
55.60	17.2	4 0 0
62.86	1.4	4 2 0
69.67	35.0	4 2 2



[8]
This entry pairs a crystal structure of LiTm2Os with its computed X-ray powder pattern. Radiation: CuKα. Structure: a PBE-relaxed structure.

Structure:
Cell lengths 6.845, 6.845, 6.845 Å; angles 90.00, 90.00, 90.00 degrees
Fractional coordinates of all 16 atoms:
Li1 0.000 0.000 0.000
Li2 0.000 0.500 0.500
Li3 0.500 0.000 0.500
Li4 0.500 0.500 0.000
Tm1 0.250 0.250 0.250
Tm2 0.250 0.250 0.750
Tm3 0.250 0.750 0.250
Tm4 0.250 0.750 0.750
Tm5 0.750 0.250 0.250
Tm6 0.750 0.250 0.750
Tm7 0.750 0.750 0.250
Tm8 0.750 0.750 0.750
Os1 0.000 0.000 0.500
Os2 0.000 0.500 0.000
Os3 0.500 0.000 0.000
Os4 0.500 0.500 0.500

Largest 10 diffraction maxima, low angle first, 10° ≤ 2θ ≤ 80°:
two_theta	I_rel	h k l
22.50	28.1	1 1 1
26.04	9.5	2 0 0
37.15	100.0	2 2 0
43.87	14.9	3 1 1
53.55	17.7	4 0 0
58.80	6.3	3 3 1
60.49	3.6	4 2 0
66.98	36.2	4 2 2
71.64	4.7	5 1 1
79.15	11.4	4 4 0